1.
Structure and computed XRD peak list of Np4Fe (a GGA-PBE-relaxed structure; Cu Kα X-rays).
No peak broadening, texture or thermal motion is included.

Peak list (6 most intense, 2θ = 15–90°, in order of rising 2θ)
(hkl)	Position (°2θ)	I_rel
2 2 2	32.5	1000
4 0 0	37.7	401
3 3 1	41.2	216
3 3 3	49.6	328
4 4 0	54.4	291
6 2 2	64.8	229

Structural model:
Cell: 9.541 9.541 9.541 Å, 90.00 90.00 90.00°
Space group Fd-3m (No. 227, origin choice 2)
Unique sites:
Np 0.021 0.021 0.229 [32 per cell]
Fe 0.125 0.125 0.625 [8 per cell]

2.
Structure and computed XRD peak list of K2OsCl7 (a GGA-PBE-relaxed structure; Cu Kα X-rays).
No peak broadening, texture or thermal motion is included.

Peak list (6 most intense, 2θ = 15–90°, in order of rising 2θ)
(hkl)	Position (°2θ)	I_rel
1 1 1	18.9	1000
0 0 2	19.1	506
4 0 -2	21.2	442
2 0 -4	31.6	661
4 2 -2	32.0	505
6 2 -2	40.7	510

Structural model:
Cell: 16.854 7.518 12.010 Å, 90.00 129.14 90.00°
Space group C2/c (No. 15)
Unique sites:
K 0.119 0.174 0.037 [8 per cell]
Os 0.000 0.275 0.250 [4 per cell]
Cl 0.000 0.404 0.750 [4 per cell]
Cl 0.083 0.275 0.498 [8 per cell]
Cl 0.091 0.009 0.262 [8 per cell]
Cl 0.159 0.371 0.308 [8 per cell]